This entry pairs a crystal structure of Rb2PmAuO4 with its simulated XRD peak list. Radiation: Cu Ka. Structure: a crystal structure in Alexandria, relaxed with GGA-PBE.
Peak positions follow from Bragg's law for the DFT cell and can differ from measured ones.

Structural model:
```
data_Rb2PmAuO4
_chemical_formula_sum 'Rb4 Pm2 Au2 O8'
_cell_length_a 6.541
_cell_length_b 6.541
_cell_length_c 7.349
_cell_angle_alpha 90.00
_cell_angle_beta 90.00
_cell_angle_gamma 90.00
_symmetry_space_group_name_H-M 'I -4'
_symmetry_Int_Tables_number 82
_symmetry_space_group_name_Hall 'I -4'
loop_
_atom_site_label
_atom_site_type_symbol
_atom_site_fract_x
_atom_site_fract_y
_atom_site_fract_z
Rb1 Rb 0.000 0.000 0.000
Rb2 Rb 0.000 0.500 0.250
Pm1 Pm 0.000 0.500 0.750
Au1 Au 0.000 0.000 0.500
O1 O 0.141 0.725 0.553
```

Main lines, in order of rising 2θ (10° ≤ 2θ ≤ 90°):
(hkl)	Position (°2θ)	d_spacing	intensity
1 0 1	18.2	4.886	28
2 0 0	27.3	3.270	60
1 1 2	31.1	2.877	100
2 2 0	38.9	2.313	29
3 1 2	50.6	1.802	54
2 0 4	57.5	1.602	17
2 4 0	63.6	1.463	14
2 2 4	64.8	1.439	12
1 5 2	79.1	1.211	14
2 4 4	84.7	1.144	12

---

This entry pairs a crystal structure of Ca3Ho2ScSe6 with its simulated XRD peak list. Radiation: Cu Ka. Structure: a crystal structure in Alexandria, relaxed with GGA-PBE.
Peak positions follow from Bragg's law for the DFT cell and can differ from measured ones.

Structural model:
```
data_Ca3Ho2ScSe6
_chemical_formula_sum 'Ca6 Ho4 Sc2 Se12'
_cell_length_a 7.046
_cell_length_b 12.190
_cell_length_c 7.167
_cell_angle_alpha 90.00
_cell_angle_beta 109.16
_cell_angle_gamma 90.00
_symmetry_space_group_name_H-M 'C 1 2/m 1'
_symmetry_Int_Tables_number 12
_symmetry_space_group_name_Hall '-C 2y'
loop_
_atom_site_label
_atom_site_type_symbol
_atom_site_fract_x
_atom_site_fract_y
_atom_site_fract_z
Ca1 Ca 0.000 0.000 0.000
Ca2 Ca 0.000 0.331 0.000
Ho1 Ho 0.000 0.166 0.500
Sc1 Sc 0.000 0.500 0.500
Se1 Se 0.243 0.337 0.740
Se2 Se 0.246 0.500 0.259
```

Main lines, in order of rising 2θ (10° ≤ 2θ ≤ 90°):
(hkl)	Position (°2θ)	d_spacing	intensity
0 0 1	13.1	6.770	19
2 0 -1	25.7	3.469	9
1 3 1	30.9	2.893	100
2 0 2	44.0	2.059	37
0 6 0	44.6	2.033	36
4 0 0	55.2	1.663	19
4 0 -4	64.4	1.447	11
3 3 -5	72.7	1.301	16
1 9 1	73.6	1.287	15
4 6 -4	81.7	1.179	12

---

This entry pairs a crystal structure of SmGaAg2Se4 with its simulated XRD peak list. Radiation: Cu Ka. Structure: a crystal structure in Alexandria, relaxed with GGA-PBE.
Peak positions follow from Bragg's law for the DFT cell and can differ from measured ones.

Structural model:
```
data_SmGaAg2Se4
_chemical_formula_sum 'Sm4 Ga4 Ag8 Se16'
_cell_length_a 7.655
_cell_length_b 8.590
_cell_length_c 11.493
_cell_angle_alpha 90.00
_cell_angle_beta 90.00
_cell_angle_gamma 90.00
_symmetry_space_group_name_H-M 'I m m a'
_symmetry_Int_Tables_number 74
_symmetry_space_group_name_Hall '-I 2b 2'
loop_
_atom_site_label
_atom_site_type_symbol
_atom_site_fract_x
_atom_site_fract_y
_atom_site_fract_z
Sm1 Sm 0.000 0.000 0.000
Ga1 Ga 0.250 0.250 0.250
Ag1 Ag 0.000 0.000 0.500
Ag2 Ag 0.250 0.250 0.750
Se1 Se 0.000 0.044 0.254
Se2 Se 0.244 0.250 0.518
```

Main lines, in order of rising 2θ (10° ≤ 2θ ≤ 90°):
(hkl)	Position (°2θ)	d_spacing	intensity
0 0 4	31.1	2.873	52
2 2 0	31.3	2.858	100
0 4 0	42.1	2.148	18
2 2 4	44.7	2.026	70
4 0 0	47.5	1.914	16
0 4 4	53.3	1.720	17
4 0 4	57.9	1.593	17
2 2 8	73.8	1.284	13
4 4 4	74.1	1.279	13
6 2 4	86.5	1.125	10

---

This entry pairs a crystal structure of InIrSe3 with its simulated XRD peak list. Radiation: Cu Ka. Structure: a crystal structure in Alexandria, relaxed with GGA-PBE.
Peak positions follow from Bragg's law for the DFT cell and can differ from measured ones.

Structural model:
```
data_InIrSe3
_chemical_formula_sum 'In2 Ir2 Se6'
_cell_length_a 6.348
_cell_length_b 6.740
_cell_length_c 6.953
_cell_angle_alpha 117.89
_cell_angle_beta 101.13
_cell_angle_gamma 106.17
_symmetry_space_group_name_H-M 'P 1'
_symmetry_Int_Tables_number 1
_symmetry_space_group_name_Hall 'P 1'
loop_
_atom_site_label
_atom_site_type_symbol
_atom_site_fract_x
_atom_site_fract_y
_atom_site_fract_z
In1 In 0.000 0.000 0.000
In2 In 0.195 0.774 0.433
Ir1 Ir 0.174 0.428 0.757
Ir2 Ir 0.485 0.231 0.220
Se1 Se 0.421 0.524 0.140
Se2 Se 0.450 0.862 0.856
Se3 Se 0.454 0.297 0.578
Se4 Se 0.903 0.563 0.950
Se5 Se 0.912 0.322 0.362
Se6 Se 0.914 0.995 0.607
```

Main lines, in order of rising 2θ (10° ≤ 2θ ≤ 90°):
(hkl)	Position (°2θ)	d_spacing	intensity
1 0 0	15.7	5.637	48
0 1 0	16.4	5.392	31
-1 1 1	25.4	3.509	48
0 1 -2	26.1	3.408	85
0 2 -1	27.7	3.222	100
-2 1 1	31.5	2.842	65
1 -1 2	33.2	2.700	45
1 0 -3	44.3	2.046	43
0 3 -3	46.6	1.949	40
3 -2 1	48.4	1.881	31